Entry 1:
This entry pairs a crystal structure of YBe2F8 with its simulated X-ray powder pattern. Radiation: Cu Kα (λ = 1.5418 Å). Structure: a crystal structure in Alexandria, relaxed with PBE.

The 12 most intense peaks (15° ≤ 2θ ≤ 90°), sorted by position:
2θ (°)	d [Å]	intensity
16.39	5.409	80.2
19.28	4.604	27.6
19.94	4.452	50.3
21.87	4.064	98.3
29.66	3.012	34.1
29.94	2.984	51.3
33.87	2.647	55.2
40.52	2.226	45.0
43.22	2.093	43.2
43.94	2.061	42.9
44.92	2.018	100.0
51.87	1.763	28.0

Structure:
```
YBe2F8
1.0
4.9882 -2.2642 0.0000
4.9882 2.2642 0.0000
-2.2555 0.0000 5.4086
Y Be F
1 2 8
direct
0.0000 0.0000 0.0000 Y
0.2089 0.2089 0.6759 Be
0.7911 0.7911 0.3241 Be
0.1151 0.6366 0.2271 F
0.1635 0.1635 0.3947 F
0.3634 0.8849 0.7729 F
0.3737 0.3737 0.8279 F
0.6263 0.6263 0.1721 F
0.6366 0.1151 0.2271 F
0.8365 0.8365 0.6053 F
0.8849 0.3634 0.7729 F
```

Entry 2:
This entry pairs a crystal structure of ZrBeF2 with its simulated X-ray powder pattern. Radiation: Cu Kα (λ = 1.5418 Å). Structure: a crystal structure in Alexandria, relaxed with PBE.

The 12 most intense peaks (15° ≤ 2θ ≤ 90°), sorted by position:
2θ (°)	d [Å]	intensity
24.66	3.610	27.4
36.03	2.493	23.4
36.76	2.445	100.0
39.58	2.277	32.5
41.59	2.172	82.2
46.59	1.949	45.8
49.52	1.841	29.2
50.56	1.805	15.9
56.08	1.640	36.1
64.29	1.449	24.3
65.73	1.421	22.5
86.04	1.130	18.4

Structure:
```
ZrBeF2
1.0
2.8979 0.0000 0.0000
-1.4489 2.5096 0.0000
0.0000 0.0000 21.6625
Zr Be F
3 3 6
direct
0.0000 0.0000 0.0000 Zr
0.3333 0.6667 0.6667 Zr
0.6667 0.3333 0.3333 Zr
0.0000 0.0000 0.5000 Be
0.3333 0.6667 0.1667 Be
0.6667 0.3333 0.8333 Be
0.0000 0.0000 0.4078 F
0.0000 0.0000 0.5922 F
0.3333 0.6667 0.0744 F
0.3333 0.6667 0.2589 F
0.6667 0.3333 0.7411 F
0.6667 0.3333 0.9256 F
```

Entry 3:
This entry pairs a crystal structure of Be2Fe3 with its simulated X-ray powder pattern. Radiation: Cu Kα (λ = 1.5418 Å). Structure: a crystal structure in Alexandria, relaxed with PBE.

The 12 most intense peaks (15° ≤ 2θ ≤ 90°), sorted by position:
2θ (°)	d [Å]	intensity
24.26	3.668	63.7
28.48	3.134	51.3
29.59	3.019	55.4
35.34	2.539	94.1
36.81	2.442	79.1
42.98	2.104	60.5
44.06	2.055	63.8
44.63	2.030	91.7
48.87	1.864	52.5
50.08	1.821	73.9
50.34	1.813	100.0
53.78	1.705	58.0

Structure:
```
Be2Fe3
1.0
3.2918 -2.7223 0.0000
3.2918 2.7223 0.0000
-1.7744 0.0000 5.5206
Be Fe
4 6
direct
0.0734 0.9266 0.5000 Be
0.3224 0.7521 0.2032 Be
0.7521 0.3224 0.7032 Be
0.9266 0.0734 0.0000 Be
0.1802 0.3738 0.4123 Fe
0.2076 0.6619 0.7985 Fe
0.3738 0.1802 0.9123 Fe
0.6296 0.7978 0.5817 Fe
0.6619 0.2076 0.2985 Fe
0.7978 0.6296 0.0817 Fe
```

Entry 4:
This entry pairs a crystal structure of Be12Fe with its simulated X-ray powder pattern. Radiation: Cu Kα (λ = 1.5418 Å). Structure: a crystal structure in Alexandria, relaxed with PBE.

The 12 most intense peaks (15° ≤ 2θ ≤ 90°), sorted by position:
2θ (°)	d [Å]	intensity
17.59	5.042	98.9
24.97	3.565	30.8
25.08	3.550	78.4
35.68	2.517	100.0
39.98	2.255	32.5
44.05	2.056	43.3
47.97	1.896	14.3
51.29	1.781	85.4
51.48	1.775	36.0
61.15	1.516	16.7
69.84	1.347	16.0
86.69	1.123	13.2

Structure:
```
Be12Fe
1.0
-3.5654 3.5654 2.0467
3.5654 -3.5654 2.0467
3.5654 3.5654 -2.0467
Be Fe
12 1
direct
0.0000 0.0000 0.5000 Be
0.0000 0.2100 0.2100 Be
0.0000 0.5000 0.0000 Be
0.0000 0.7900 0.7900 Be
0.1538 0.5000 0.6538 Be
0.2100 0.0000 0.2100 Be
0.5000 0.0000 0.0000 Be
0.5000 0.1538 0.6538 Be
0.5000 0.5000 0.5000 Be
0.5000 0.8462 0.3462 Be
0.7900 0.0000 0.7900 Be
0.8462 0.5000 0.3462 Be
0.5000 0.5000 0.0000 Fe
```

Entry 5:
This entry pairs a crystal structure of Be2Fe3 with its simulated X-ray powder pattern. Radiation: Cu Kα (λ = 1.5418 Å). Structure: a crystal structure in Alexandria, relaxed with PBE.

The 12 most intense peaks (15° ≤ 2θ ≤ 90°), sorted by position:
2θ (°)	d [Å]	intensity
18.75	4.733	65.6
28.28	3.155	31.3
42.90	2.108	25.0
44.73	2.026	23.9
45.80	1.981	100.0
48.06	1.893	28.4
54.08	1.696	58.5
56.24	1.636	8.7
63.57	1.464	8.8
78.34	1.221	22.8
81.69	1.179	15.8
85.25	1.138	6.6

Structure:
```
Be2Fe3
1.0
2.4412 0.0000 0.0000
-1.2206 2.1141 0.0000
0.0000 0.0000 28.3972
Be Fe
6 9
direct
0.0000 0.0000 0.1002 Be
0.0000 0.0000 0.8998 Be
0.3333 0.6667 0.5665 Be
0.3333 0.6667 0.7669 Be
0.6667 0.3333 0.2331 Be
0.6667 0.3333 0.4335 Be
0.0000 0.0000 0.2990 Fe
0.0000 0.0000 0.5000 Fe
0.0000 0.0000 0.7010 Fe
0.3333 0.6667 0.1667 Fe
0.3333 0.6667 0.3677 Fe
0.3333 0.6667 0.9656 Fe
0.6667 0.3333 0.0344 Fe
0.6667 0.3333 0.6323 Fe
0.6667 0.3333 0.8333 Fe
```

Entry 6:
This entry pairs a crystal structure of Be5Fe with its simulated X-ray powder pattern. Radiation: Cu Kα (λ = 1.5418 Å). Structure: a crystal structure in Alexandria, relaxed with PBE.

The 12 most intense peaks (15° ≤ 2θ ≤ 90°), sorted by position:
2θ (°)	d [Å]	intensity
17.99	4.931	100.0
23.18	3.837	55.1
24.28	3.665	51.2
33.98	2.638	21.2
36.44	2.466	18.1
38.00	2.368	31.8
40.56	2.224	27.1
44.06	2.055	20.1
49.75	1.833	18.8
50.10	1.821	18.5
50.68	1.801	35.6
51.21	1.784	34.5

Structure:
```
Be5Fe
1.0
8.1213 0.0000 0.0000
0.0000 2.4895 0.0000
-1.7091 0.0000 4.9315
Be Fe
10 2
direct
0.0000 0.0000 0.0000 Be
0.0076 0.0000 0.4881 Be
0.1737 0.5000 0.3305 Be
0.3390 0.0000 0.1706 Be
0.3478 0.0000 0.6604 Be
0.5000 0.5000 0.0000 Be
0.5076 0.5000 0.4881 Be
0.6737 0.0000 0.3305 Be
0.8390 0.5000 0.1706 Be
0.8478 0.5000 0.6604 Be
0.1735 0.5000 0.8294 Fe
0.6735 0.0000 0.8294 Fe
```